No. 1
Diffraction record for Cs4U3CuSe8. The XRD peak list is theoretical, not measured: it uses DFT lattice parameters and positions (PBE) and λ = 1.5418 Å (Cu Kα).
No peak broadening, texture or thermal motion is included.

Structural model:
```
data_Cs4U3CuSe8
_space_group_name_H-M_alt 'C 1 2/m 1'
_space_group_IT_number 12
_cell_length_a 14.752
_cell_length_b 8.471
_cell_length_c 9.697
_cell_angle_alpha 90.00
_cell_angle_beta 120.46
_cell_angle_gamma 90.00
loop_
_space_group_symop_operation_xyz
'x,y,z'
'-x,-y,-z'
'-x,y,-z'
'x,-y,z'
'x+1/2,y+1/2,z'
'-x+1/2,-y+1/2,-z'
'-x+1/2,y+1/2,-z'
'x+1/2,-y+1/2,z'
loop_
_atom_site_label
_atom_site_type_symbol
_atom_site_fract_x
_atom_site_fract_y
_atom_site_fract_z
Cs1 Cs 0.000 0.000 0.000
Cs2 Cs 0.000 0.500 0.000
Cs3 Cs 0.250 0.250 0.000
U1 U 0.000 0.000 0.500
U2 U 0.250 0.250 0.500
Cu1 Cu 0.000 0.500 0.500
Se1 Se 0.024 0.251 0.321
Se2 Se 0.229 0.000 0.688
Se3 Se 0.230 0.500 0.682
```

Principal peaks in the range 15 to 90 degrees two-theta, sorted by position:
2θ 21.26, I 14.2, hkl 0 0 2
2θ 25.23, I 16.8, hkl 4 0 -2
2θ 28.13, I 100.0, hkl 4 0 0
2θ 34.97, I 10.2, hkl 2 2 -3
2θ 37.71, I 33.2, hkl 2 2 2
2θ 42.51, I 24.2, hkl 6 2 -2
2θ 42.70, I 12.2, hkl 0 4 0
2θ 43.71, I 8.6, hkl 2 2 -4
2θ 48.01, I 7.0, hkl 6 2 -4
2θ 51.88, I 12.4, hkl 4 4 0
2θ 57.21, I 9.9, hkl 4 0 -6
2θ 58.23, I 6.5, hkl 4 4 -4

***

No. 2
Diffraction record for Rb2GaSb2. The XRD peak list is theoretical, not measured: it uses DFT lattice parameters and positions (PBE) and λ = 1.5418 Å (Cu Kα).
No peak broadening, texture or thermal motion is included.

Structural model:
```
data_Rb2GaSb2
_space_group_name_H-M_alt 'I b a m'
_space_group_IT_number 72
_space_group_name_Hall '-I 2 2c'
_cell_length_a 7.728
_cell_length_b 14.986
_cell_length_c 7.186
_cell_angle_alpha 90.00
_cell_angle_beta 90.00
_cell_angle_gamma 90.00
loop_
_atom_site_label
_atom_site_type_symbol
_atom_site_fract_x
_atom_site_fract_y
_atom_site_fract_z
Rb1 Rb 0.179 0.143 0.000
Ga1 Ga 0.000 0.500 0.250
Sb1 Sb 0.181 0.399 0.000
```

Principal peaks in the range 15 to 90 degrees two-theta, sorted by position:
2θ 23.75, I 57.1, hkl 0 4 0
2θ 24.78, I 76.8, hkl 0 0 2
2θ 26.87, I 99.2, hkl 2 1 1
2θ 29.26, I 65.9, hkl 1 4 1
2θ 31.82, I 74.7, hkl 2 3 1
2θ 33.31, I 54.2, hkl 2 4 0
2θ 34.07, I 65.5, hkl 2 0 2
2θ 34.59, I 100.0, hkl 0 4 2
2θ 46.50, I 35.5, hkl 3 5 0
2θ 49.22, I 29.6, hkl 4 1 1
2θ 51.80, I 37.2, hkl 1 8 1
2θ 52.35, I 31.3, hkl 4 3 1

***

No. 3
Diffraction record for CaPr12Er2. The XRD peak list is theoretical, not measured: it uses DFT lattice parameters and positions (PBE) and λ = 1.5418 Å (Cu Kα).
No peak broadening, texture or thermal motion is included.

Structural model:
```
data_CaPr12Er2
_space_group_name_H-M_alt 'C m m e'
_space_group_IT_number 67
_space_group_name_Hall '-C 2a 2'
_cell_length_a 7.239
_cell_length_b 11.778
_cell_length_c 25.629
_cell_angle_alpha 90.00
_cell_angle_beta 90.00
_cell_angle_gamma 90.00
loop_
_atom_site_label
_atom_site_type_symbol
_atom_site_fract_x
_atom_site_fract_y
_atom_site_fract_z
Ca1 Ca 0.000 0.250 0.001
Pr1 Pr 0.000 0.001 0.919
Pr2 Pr 0.000 0.024 0.441
Pr3 Pr 0.230 0.250 0.584
Pr4 Pr 0.249 0.250 0.139
Pr5 Pr 0.250 0.000 0.203
Pr6 Pr 0.250 0.000 0.327
Er1 Er 0.000 0.250 0.274
Er2 Er 0.000 0.250 0.729
```

Principal peaks in the range 15 to 90 degrees two-theta, sorted by position:
2θ 28.71, I 63.1, hkl 0 2 7
2θ 29.80, I 100.0, hkl 2 2 2
2θ 30.35, I 80.2, hkl 0 4 0
2θ 30.83, I 26.0, hkl 2 2 3
2θ 31.80, I 43.3, hkl 0 2 8
2θ 32.21, I 48.1, hkl 2 2 4
2θ 32.42, I 22.7, hkl 2 0 6
2θ 35.00, I 22.5, hkl 0 2 9
2θ 35.92, I 27.3, hkl 2 2 6
2θ 46.34, I 26.9, hkl 2 0 11
2θ 56.41, I 29.8, hkl 2 4 11
2θ 60.00, I 22.3, hkl 4 4 0

***

No. 4
Diffraction record for Cs2Ce2Se2S. The XRD peak list is theoretical, not measured: it uses DFT lattice parameters and positions (PBE) and λ = 1.5418 Å (Cu Kα).
No peak broadening, texture or thermal motion is included.

Structural model:
```
data_Cs2Ce2Se2S
_space_group_name_H-M_alt 'I 4/m m m'
_space_group_IT_number 139
_space_group_name_Hall '-I 4 2'
_cell_length_a 5.362
_cell_length_b 5.362
_cell_length_c 18.093
_cell_angle_alpha 90.00
_cell_angle_beta 90.00
_cell_angle_gamma 90.00
loop_
_atom_site_label
_atom_site_type_symbol
_atom_site_fract_x
_atom_site_fract_y
_atom_site_fract_z
Cs1 Cs 0.000 0.000 0.188
Ce1 Ce 0.000 0.500 0.000
Se1 Se 0.000 0.000 0.398
S1 S 0.000 0.000 0.000
```

Principal peaks in the range 15 to 90 degrees two-theta, sorted by position:
2θ 22.18, I 20.5, hkl 1 0 3
2θ 25.47, I 100.0, hkl 1 1 2
2θ 29.79, I 86.2, hkl 1 0 5
2θ 30.77, I 58.5, hkl 1 1 4
2θ 33.42, I 89.3, hkl 2 0 0
2θ 45.26, I 19.4, hkl 2 0 6
2θ 45.37, I 52.4, hkl 2 1 5
2θ 46.77, I 24.9, hkl 1 1 8
2θ 47.99, I 31.8, hkl 2 2 0
2θ 55.10, I 24.0, hkl 3 1 2
2θ 57.47, I 22.4, hkl 3 0 5
2θ 61.87, I 24.2, hkl 2 0 10

***

No. 5
Diffraction record for Tb2Sm2Er2Mg. The XRD peak list is theoretical, not measured: it uses DFT lattice parameters and positions (PBE) and λ = 1.5418 Å (Cu Kα).
No peak broadening, texture or thermal motion is included.

Structural model:
```
data_Tb2Sm2Er2Mg
_space_group_name_H-M_alt 'C 1 2/m 1'
_space_group_IT_number 12
_cell_length_a 12.032
_cell_length_b 3.636
_cell_length_c 11.523
_cell_angle_alpha 90.00
_cell_angle_beta 117.97
_cell_angle_gamma 90.00
loop_
_space_group_symop_operation_xyz
'x,y,z'
'-x,-y,-z'
'-x,y,-z'
'x,-y,z'
'x+1/2,y+1/2,z'
'-x+1/2,-y+1/2,-z'
'-x+1/2,y+1/2,-z'
'x+1/2,-y+1/2,z'
loop_
_atom_site_label
_atom_site_type_symbol
_atom_site_fract_x
_atom_site_fract_y
_atom_site_fract_z
Tb1 Tb 0.249 0.000 0.131
Sm1 Sm 0.031 0.000 0.246
Er1 Er 0.179 0.000 0.585
Mg1 Mg 0.000 0.500 0.000
```

Principal peaks in the range 15 to 90 degrees two-theta, sorted by position:
2θ 25.90, I 44.2, hkl 1 1 0
2θ 29.04, I 20.7, hkl 1 1 -2
2θ 29.45, I 29.5, hkl 2 0 2
2θ 29.76, I 25.5, hkl 4 0 -2
2θ 30.53, I 38.5, hkl 4 0 -1
2θ 31.05, I 70.7, hkl 2 0 -4
2θ 33.59, I 90.8, hkl 1 1 2
2θ 33.76, I 100.0, hkl 3 1 -2
2θ 54.27, I 22.9, hkl 5 1 1
2θ 56.76, I 24.0, hkl 1 1 -6
2θ 59.48, I 30.0, hkl 7 1 -3
2θ 60.19, I 21.5, hkl 2 2 -4

***

No. 6
Diffraction record for PmPaS6. The XRD peak list is theoretical, not measured: it uses DFT lattice parameters and positions (PBE) and λ = 1.5418 Å (Cu Kα).
No peak broadening, texture or thermal motion is included.

Structural model:
```
data_PmPaS6
_space_group_name_H-M_alt 'F m -3 m'
_space_group_IT_number 225
_space_group_name_Hall '-F 4 2 3'
_cell_length_a 10.748
_cell_length_b 10.748
_cell_length_c 10.748
_cell_angle_alpha 90.00
_cell_angle_beta 90.00
_cell_angle_gamma 90.00
loop_
_atom_site_label
_atom_site_type_symbol
_atom_site_fract_x
_atom_site_fract_y
_atom_site_fract_z
Pm1 Pm 0.000 0.000 0.000
Pa1 Pa 0.000 0.000 0.500
S1 S 0.000 0.000 0.259
```

Principal peaks in the range 15 to 90 degrees two-theta, sorted by position:
2θ 16.50, I 100.0, hkl 2 0 0
2θ 23.41, I 40.5, hkl 2 2 0
2θ 33.35, I 29.6, hkl 4 0 0
2θ 37.42, I 50.9, hkl 4 2 0
2θ 41.15, I 19.6, hkl 4 2 2
2θ 47.88, I 20.6, hkl 4 4 0
2θ 50.98, I 26.1, hkl 6 0 0
2θ 53.96, I 9.5, hkl 6 2 0
2θ 62.30, I 11.6, hkl 6 4 0
2θ 64.93, I 10.9, hkl 6 4 2
2θ 72.53, I 14.6, hkl 6 4 4
2θ 82.21, I 10.4, hkl 8 4 2

***

No. 7
Diffraction record for TbCo4Sn12. The XRD peak list is theoretical, not measured: it uses DFT lattice parameters and positions (PBE) and λ = 1.5418 Å (Cu Kα).
No peak broadening, texture or thermal motion is included.

Structural model:
```
data_TbCo4Sn12
_space_group_name_H-M_alt 'I m -3'
_space_group_IT_number 204
_space_group_name_Hall '-I 2 2 3'
_cell_length_a 9.210
_cell_length_b 9.210
_cell_length_c 9.210
_cell_angle_alpha 90.00
_cell_angle_beta 90.00
_cell_angle_gamma 90.00
loop_
_atom_site_label
_atom_site_type_symbol
_atom_site_fract_x
_atom_site_fract_y
_atom_site_fract_z
Tb1 Tb 0.000 0.000 0.000
Co1 Co 0.250 0.250 0.250
Sn1 Sn 0.000 0.169 0.329
```

Principal peaks in the range 15 to 90 degrees two-theta, sorted by position:
2θ 30.70, I 100.0, hkl 3 1 0
2θ 36.50, I 58.0, hkl 3 2 1
2θ 43.97, I 11.2, hkl 4 0 2
2θ 48.42, I 24.9, hkl 4 2 2
2θ 50.53, I 18.5, hkl 4 1 3
2θ 58.43, I 23.3, hkl 5 0 3
2θ 60.29, I 12.1, hkl 6 0 0
2θ 62.13, I 15.4, hkl 5 3 2
2θ 69.18, I 20.5, hkl 6 3 1
2θ 72.58, I 8.2, hkl 5 3 4
2θ 79.21, I 5.9, hkl 7 0 3
2θ 88.90, I 13.8, hkl 6 3 5

***

No. 8
Diffraction record for KRbF4. The XRD peak list is theoretical, not measured: it uses DFT lattice parameters and positions (PBE) and λ = 1.5418 Å (Cu Kα).
No peak broadening, texture or thermal motion is included.

Structural model:
```
data_KRbF4
_space_group_name_H-M_alt 'C 1 2/c 1'
_space_group_IT_number 15
_cell_length_a 10.206
_cell_length_b 10.358
_cell_length_c 7.289
_cell_angle_alpha 90.00
_cell_angle_beta 133.40
_cell_angle_gamma 90.00
loop_
_space_group_symop_operation_xyz
'x,y,z'
'-x,-y,-z'
'-x,y,-z+1/2'
'x,-y,z+1/2'
'x+1/2,y+1/2,z'
'-x+1/2,-y+1/2,-z'
'-x+1/2,y+1/2,-z+1/2'
'x+1/2,-y+1/2,z+1/2'
loop_
_atom_site_label
_atom_site_type_symbol
_atom_site_fract_x
_atom_site_fract_y
_atom_site_fract_z
K1 K 0.000 0.052 0.250
Rb1 Rb 0.000 0.367 0.750
F1 F 0.152 0.155 0.094
F2 F 0.235 0.483 0.245
```

Principal peaks in the range 15 to 90 degrees two-theta, sorted by position:
2θ 24.03, I 100.0, hkl 0 2 1
2θ 24.48, I 44.0, hkl 2 2 -1
2θ 28.74, I 20.9, hkl 3 1 -1
2θ 33.85, I 25.8, hkl 0 0 2
2θ 35.18, I 40.1, hkl 4 0 -2
2θ 37.60, I 27.2, hkl 1 3 -2
2θ 38.20, I 21.6, hkl 3 3 -2
2θ 41.95, I 23.5, hkl 2 2 1
2θ 42.53, I 29.2, hkl 2 2 -3
2θ 42.82, I 21.7, hkl 4 2 -1
2θ 43.32, I 19.8, hkl 4 2 -3
2θ 45.11, I 18.1, hkl 3 3 0

***

No. 9
Diffraction record for Nd3TmAl8. The XRD peak list is theoretical, not measured: it uses DFT lattice parameters and positions (PBE) and λ = 1.5418 Å (Cu Kα).
No peak broadening, texture or thermal motion is included.

Structural model:
```
data_Nd3TmAl8
_space_group_name_H-M_alt 'P 3 m 1'
_space_group_IT_number 156
_cell_length_a 5.6354
_cell_length_b 5.6354
_cell_length_c 9.2774
_cell_angle_alpha 90.00
_cell_angle_beta 90.00
_cell_angle_gamma 120.00
loop_
_space_group_symop_operation_xyz
'x,y,z'
'-y,x-y,z'
'-x+y,-x,z'
'-y,-x,z'
'-x+y,y,z'
'x,x-y,z'
loop_
_atom_site_label
_atom_site_type_symbol
_atom_site_fract_x
_atom_site_fract_y
_atom_site_fract_z
Nd1 Nd 0.0000 0.0000 0.0000
Nd2 Nd 0.0000 0.0000 0.3639
Nd3 Nd 0.3333 0.6667 0.8625
Tm1 Tm 0.3333 0.6667 0.4987
Al1 Al 0.0091 0.5046 0.1835
Al2 Al 0.3249 0.1624 0.6767
Al3 Al 0.6667 0.3333 0.4322
Al4 Al 0.6667 0.3333 0.9283
```

Principal peaks in the range 15 to 90 degrees two-theta, sorted by position:
2θ 18.18, I 39.0, hkl 1 0 0
2θ 19.13, I 18.7, hkl 0 0 2
2θ 20.56, I 32.7, hkl 0 1 1
2θ 26.51, I 17.7, hkl 0 1 2
2θ 31.76, I 73.8, hkl 1 1 0
2θ 34.33, I 100.0, hkl 0 1 3
2θ 37.34, I 66.5, hkl 1 1 2
2θ 38.13, I 31.6, hkl 2 0 1
2θ 47.46, I 17.5, hkl 2 0 3
2θ 58.24, I 42.3, hkl 1 2 3
2θ 62.93, I 19.0, hkl 2 0 5
2θ 76.88, I 19.2, hkl 3 1 3

***

No. 10
Diffraction record for Pd7Au. The XRD peak list is theoretical, not measured: it uses DFT lattice parameters and positions (PBE) and λ = 1.5418 Å (Cu Kα).
No peak broadening, texture or thermal motion is included.

Structural model:
```
data_Pd7Au
_space_group_name_H-M_alt 'F m -3 m'
_space_group_IT_number 225
_space_group_name_Hall '-F 4 2 3'
_cell_length_a 7.951
_cell_length_b 7.951
_cell_length_c 7.951
_cell_angle_alpha 90.00
_cell_angle_beta 90.00
_cell_angle_gamma 90.00
loop_
_atom_site_label
_atom_site_type_symbol
_atom_site_fract_x
_atom_site_fract_y
_atom_site_fract_z
Pd1 Pd 0.000 0.000 0.000
Pd2 Pd 0.000 0.250 0.250
Au1 Au 0.000 0.000 0.500
```

Principal peaks in the range 15 to 90 degrees two-theta, sorted by position:
2θ 19.34, I 4.7, hkl 1 1 1
2θ 22.36, I 2.6, hkl 2 0 0
2θ 31.83, I 2.3, hkl 2 2 0
2θ 37.52, I 3.1, hkl 3 1 1
2θ 39.25, I 100.0, hkl 2 2 2
2θ 45.64, I 48.6, hkl 4 0 0
2θ 50.00, I 1.4, hkl 3 3 1
2θ 51.39, I 1.3, hkl 4 2 0
2θ 66.52, I 31.0, hkl 4 4 0
2θ 70.00, I 1.1, hkl 5 3 1
2θ 80.05, I 36.8, hkl 6 2 2
2θ 84.40, I 10.8, hkl 4 4 4

***

No. 11
Diffraction record for Ba5Bi5O13. The XRD peak list is theoretical, not measured: it uses DFT lattice parameters and positions (PBE) and λ = 1.5418 Å (Cu Kα).
No peak broadening, texture or thermal motion is included.

Structural model:
```
data_Ba5Bi5O13
_space_group_name_H-M_alt 'C 1 2 1'
_space_group_IT_number 5
_cell_length_a 11.188
_cell_length_b 6.135
_cell_length_c 25.775
_cell_angle_alpha 90.00
_cell_angle_beta 100.18
_cell_angle_gamma 90.00
loop_
_space_group_symop_operation_xyz
'x,y,z'
'-x,y,-z'
'x+1/2,y+1/2,z'
'-x+1/2,y+1/2,-z'
loop_
_atom_site_label
_atom_site_type_symbol
_atom_site_fract_x
_atom_site_fract_y
_atom_site_fract_z
Ba1 Ba 0.071 0.000 0.147
Ba2 Ba 0.074 0.575 0.646
Ba3 Ba 0.147 0.103 0.453
Ba4 Ba 0.149 0.460 0.953
Ba5 Ba 0.247 0.032 0.753
Bi1 Bi 0.000 0.604 0.500
Bi2 Bi 0.000 0.962 0.000
Bi3 Bi 0.088 0.064 0.297
Bi4 Bi 0.093 0.534 0.800
Bi5 Bi 0.216 0.478 0.102
Bi6 Bi 0.218 0.082 0.603
O1 O 0.023 0.383 0.268
O2 O 0.036 0.885 0.773
O3 O 0.059 0.480 0.151
O4 O 0.070 0.057 0.657
O5 O 0.112 0.930 0.933
O6 O 0.114 0.638 0.434
O7 O 0.120 0.359 0.551
O8 O 0.125 0.207 0.046
O9 O 0.134 0.874 0.542
O10 O 0.140 0.696 0.042
O11 O 0.208 0.256 0.360
O12 O 0.213 0.277 0.850
O13 O 0.248 0.070 0.249
```

Principal peaks in the range 15 to 90 degrees two-theta, sorted by position:
2θ 20.37, I 16.5, hkl 1 1 3
2θ 28.01, I 100.0, hkl 3 1 -1
2θ 28.52, I 97.1, hkl 1 1 -7
2θ 28.81, I 54.7, hkl 2 0 6
2θ 29.11, I 40.8, hkl 0 2 0
2θ 29.33, I 16.4, hkl 0 2 1
2θ 39.36, I 40.7, hkl 4 0 -8
2θ 41.41, I 34.6, hkl 2 2 6
2θ 49.70, I 17.2, hkl 4 2 -8
2θ 50.24, I 19.4, hkl 5 1 5
2θ 50.97, I 17.0, hkl 3 3 -1
2θ 51.17, I 25.0, hkl 1 1 13

***

No. 12
Diffraction record for Pr4Ho3Tm2. The XRD peak list is theoretical, not measured: it uses DFT lattice parameters and positions (PBE) and λ = 1.5418 Å (Cu Kα).
No peak broadening, texture or thermal motion is included.

Structural model:
```
data_Pr4Ho3Tm2
_space_group_name_H-M_alt 'P 3 m 1'
_space_group_IT_number 156
_cell_length_a 3.6120
_cell_length_b 3.6120
_cell_length_c 26.7566
_cell_angle_alpha 90.00
_cell_angle_beta 90.00
_cell_angle_gamma 120.00
loop_
_space_group_symop_operation_xyz
'x,y,z'
'-y,x-y,z'
'-x+y,-x,z'
'-y,-x,z'
'-x+y,y,z'
'x,x-y,z'
loop_
_atom_site_label
_atom_site_type_symbol
_atom_site_fract_x
_atom_site_fract_y
_atom_site_fract_z
Pr1 Pr 0.0000 0.0000 0.0000
Pr2 Pr 0.0000 0.0000 0.2175
Pr3 Pr 0.3333 0.6667 0.3360
Pr4 Pr 0.3333 0.6667 0.5554
Ho1 Ho 0.0000 0.0000 0.4448
Ho2 Ho 0.3333 0.6667 0.1073
Ho3 Ho 0.3333 0.6667 0.7677
Tm1 Tm 0.0000 0.0000 0.6646
Tm2 Tm 0.0000 0.0000 0.8696
```

Principal peaks in the range 15 to 90 degrees two-theta, sorted by position:
2θ 28.53, I 50.7, hkl 1 0 0
2θ 30.06, I 49.4, hkl 0 0 9
2θ 31.57, I 70.7, hkl 1 0 4
2θ 33.17, I 100.0, hkl 0 1 5
2θ 35.04, I 17.2, hkl 0 1 6
2θ 41.92, I 31.2, hkl 0 1 9
2θ 50.54, I 40.1, hkl 1 1 0
2θ 56.42, I 26.3, hkl 1 0 14
2θ 59.93, I 42.0, hkl 1 1 9
2θ 61.80, I 16.8, hkl 2 0 5
2θ 83.79, I 14.4, hkl 1 2 5
2θ 84.40, I 11.0, hkl 1 1 18